1.
Theoretical PXRD pattern
Compound: Ca2PmCuO5
Radiation: CuKα
Structure: the PBE geometry in Alexandria
Kinematic intensities with the Lorentz-polarization factor, no thermal factor.

Main lines, in order of rising 2θ (15 to 90 degrees two-theta):
d = 5.674 Å, I 40.4; d = 3.170 Å, I 34.1; d = 2.837 Å, I 31.6; d = 2.767 Å, I 100.0; d = 2.269 Å, I 23.2; d = 2.241 Å, I 34.1; d = 2.114 Å, I 37.3; d = 2.085 Å, I 26.2; d = 1.759 Å, I 27.2; d = 1.624 Å, I 23.2

```
Ca2PmCuO5
1.0
-3.170 3.170 5.674
3.170 -3.170 5.674
3.170 3.170 -5.674
Ca Pm Cu O
4 2 2 10
direct
0.167 0.667 0.834
0.333 0.167 0.500
0.667 0.833 0.500
0.833 0.333 0.166
0.250 0.250 0.000
0.750 0.750 0.000
0.250 0.750 0.500
0.750 0.250 0.500
0.000 0.000 0.000
0.015 0.200 0.500
0.200 0.700 0.185
0.300 0.485 0.500
0.485 0.985 0.185
0.500 0.500 0.000
0.515 0.015 0.815
0.700 0.515 0.500
0.800 0.300 0.815
0.985 0.800 0.500
```

2.
Theoretical PXRD pattern
Compound: NaAg6Sb4
Radiation: CuKα
Structure: the PBE geometry in Alexandria
Kinematic intensities with the Lorentz-polarization factor, no thermal factor.

Main lines, in order of rising 2θ (15 to 90 degrees two-theta):
d = 5.884 Å, I 60.6; d = 3.673 Å, I 30.3; d = 3.475 Å, I 50.2; d = 2.942 Å, I 44.2; d = 2.457 Å, I 68.1; d = 2.410 Å, I 46.7; d = 2.267 Å, I 34.3; d = 2.164 Å, I 100.0; d = 2.042 Å, I 60.0; d = 1.323 Å, I 31.6

```
NaAg6Sb4
1.0
-3.475 3.475 5.531
3.475 -3.475 5.531
3.475 3.475 -5.531
Na Ag Sb
1 6 4
direct
0.000 0.000 0.000
0.000 0.500 0.500
0.222 0.222 0.671
0.449 0.778 0.000
0.500 0.000 0.500
0.551 0.551 0.329
0.778 0.449 0.000
0.118 0.583 0.000
0.417 0.417 0.536
0.583 0.118 0.000
0.882 0.882 0.464
```